# 1
For LiCr2P2O10, a DFT-relaxed cell (PBE+U, the Materials Project) gives the calculated PXRD pattern in this record (a wavelength of 1.5418 Å).

Atomic structure:
```
LiCr2P2O10
1.0
6.7325 0.0000 0.0000
3.0636 6.2652 0.0000
0.0944 -0.0402 8.0381
Li Cr P O
2 4 4 20
Direct
0.0000 0.0000 0.0000 Li
0.4682 0.0960 0.5038 Li
0.0209 0.2774 0.3176 Cr
0.0258 0.7781 0.3327 Cr
0.5303 0.2795 0.8290 Cr
0.5385 0.7777 0.8235 Cr
0.0185 0.5243 0.9884 P
0.0416 0.0374 0.6570 P
0.5181 0.5257 0.4892 P
0.5386 0.0330 0.1583 P
0.0134 0.5389 0.3759 O
0.0386 0.0219 0.2457 O
0.0594 0.6952 0.0866 O
0.1376 0.1531 0.5407 O
0.2130 0.9087 0.7917 O
0.2300 0.3632 0.9006 O
0.3328 0.1946 0.2544 O
0.3410 0.6564 0.3600 O
0.4354 0.3895 0.5967 O
0.4833 0.8775 0.0546 O
0.5178 0.5282 0.8786 O
0.5413 0.0318 0.7486 O
0.5767 0.6824 0.5890 O
0.6437 0.1448 0.0435 O
0.7003 0.9215 0.3024 O
0.7211 0.3683 0.3896 O
0.8439 0.1901 0.7647 O
0.8507 0.6465 0.8493 O
0.9244 0.3990 0.0956 O
0.9702 0.8912 0.5541 O
```

Principal peaks in the range 2θ from 10° to 90°, low angle first:
d (Å)	Position (°2θ)	Rel. int.
4.862	18.24	33
4.803	18.47	46
4.692	18.92	29
3.189	27.98	100
3.024	29.54	58
2.461	36.51	25

# 2
For LiCrPO4, a DFT-relaxed cell (PBE+U, the Materials Project) gives the calculated PXRD pattern in this record (a wavelength of 1.5418 Å).

Atomic structure:
```
LiCrPO4
1.0
5.9907 0.0000 0.0000
0.9888 6.4257 0.0000
1.4651 3.0574 9.0978
Li Cr P O
4 4 4 16
Direct
0.0828 0.3621 0.1755 Li
0.0908 0.8340 0.2049 Li
0.9092 0.1660 0.7951 Li
0.9172 0.6379 0.8245 Li
0.2948 0.6378 0.5731 Cr
0.4850 0.9003 0.7758 Cr
0.5150 0.0997 0.2242 Cr
0.7052 0.3622 0.4269 Cr
0.2078 0.1839 0.5141 P
0.3450 0.2726 0.8892 P
0.6550 0.7274 0.1108 P
0.7922 0.8161 0.4859 P
0.0372 0.7589 0.4259 O
0.2128 0.4989 0.8084 O
0.2286 0.0869 0.8654 O
0.2306 0.2069 0.3485 O
0.2925 0.9413 0.6050 O
0.3089 0.2472 0.0570 O
0.3652 0.3354 0.5390 O
0.4041 0.7411 0.1697 O
0.5959 0.2589 0.8303 O
0.6348 0.6646 0.4610 O
0.6911 0.7528 0.9430 O
0.7075 0.0587 0.3950 O
0.7694 0.7931 0.6515 O
0.7714 0.9131 0.1346 O
0.7872 0.5011 0.1916 O
0.9628 0.2411 0.5741 O
```

Principal peaks in the range 2θ from 10° to 90°, low angle first:
d (Å)	Position (°2θ)	Rel. int.
5.887	15.05	76
4.717	18.81	45
4.484	19.80	32
3.019	29.59	100
2.827	31.65	40
2.357	38.18	34

# 3
For LiCr3P6O20, a DFT-relaxed cell (PBE+U, the Materials Project) gives the calculated PXRD pattern in this record (a wavelength of 1.5418 Å).

Atomic structure:
```
LiCr3P6O20
1.0
12.5933 0.0000 0.0000
0.0000 6.8486 5.1006
0.0000 -6.8486 5.1006
Li Cr P O
2 6 12 40
Direct
0.0000 0.0000 0.0000 Li
0.5000 0.5000 0.5000 Li
0.0000 0.2812 0.2812 Cr
0.2175 0.6625 0.2166 Cr
0.2825 0.1625 0.7166 Cr
0.5000 0.7812 0.7812 Cr
0.7175 0.7166 0.1625 Cr
0.7825 0.2166 0.6625 Cr
0.0508 0.2641 0.6462 P
0.1960 0.5262 0.7962 P
0.2165 0.2566 0.1203 P
0.2835 0.7566 0.6203 P
0.3040 0.0262 0.2962 P
0.4492 0.7640 0.1462 P
0.5508 0.1462 0.7641 P
0.6960 0.2962 0.0262 P
0.7165 0.6203 0.7566 P
0.7835 0.1203 0.2566 P
0.8040 0.7962 0.5262 P
0.9492 0.6462 0.2640 P
0.0618 0.6872 0.2391 O
0.0729 0.2585 0.4650 O
0.0783 0.4527 0.7497 O
0.1071 0.1652 0.1155 O
0.1254 0.1473 0.6977 O
0.1979 0.6703 0.7107 O
0.1987 0.6029 0.9758 O
0.2024 0.4305 0.2308 O
0.2229 0.8986 0.2136 O
0.2371 0.7421 0.4560 O
0.2629 0.2421 0.9560 O
0.2771 0.3986 0.7136 O
0.2976 0.9305 0.7308 O
0.3013 0.1029 0.4758 O
0.3021 0.1703 0.2107 O
0.3746 0.6473 0.1977 O
0.3929 0.6652 0.6155 O
0.4217 0.9527 0.2497 O
0.4271 0.7585 0.9650 O
0.4382 0.1872 0.7391 O
0.5618 0.7391 0.1872 O
0.5729 0.9650 0.7585 O
0.5783 0.2497 0.9527 O
0.6071 0.6155 0.6652 O
0.6254 0.1977 0.6473 O
0.6979 0.2107 0.1703 O
0.6987 0.4758 0.1029 O
0.7024 0.7308 0.9305 O
0.7229 0.7136 0.3986 O
0.7371 0.9560 0.2421 O
0.7629 0.4560 0.7421 O
0.7771 0.2136 0.8986 O
0.7976 0.2308 0.4305 O
0.8013 0.9758 0.6029 O
0.8021 0.7107 0.6703 O
0.8746 0.6977 0.1473 O
0.8929 0.1155 0.1652 O
0.9217 0.7497 0.4527 O
0.9271 0.4650 0.2585 O
0.9382 0.2391 0.6872 O
```

Principal peaks in the range 2θ from 10° to 90°, low angle first:
d (Å)	Position (°2θ)	Rel. int.
6.859	12.91	81
6.297	14.07	46
4.990	17.78	17
4.091	21.73	100
3.958	22.46	47
2.938	30.43	31

# 4
For Li2Cr5P4O16, a DFT-relaxed cell (PBE+U, the Materials Project) gives the calculated PXRD pattern in this record (a wavelength of 1.5418 Å).

Atomic structure:
```
Li2Cr5P4O16
1.0
5.4666 0.0000 0.0000
1.5840 7.9190 0.0000
0.2090 3.6285 7.7216
Li Cr P O
2 5 4 16
Direct
0.1418 0.4070 0.2745 Li
0.8582 0.5930 0.7255 Li
0.1648 0.0819 0.6823 Cr
0.3782 0.7488 0.2173 Cr
0.5000 0.5000 0.0000 Cr
0.6218 0.2512 0.7827 Cr
0.8352 0.9181 0.3177 Cr
0.1404 0.2008 0.0196 P
0.3718 0.7086 0.5799 P
0.6282 0.2914 0.4201 P
0.8596 0.7992 0.9804 P
0.1255 0.6895 0.0565 O
0.1344 0.0037 0.1676 O
0.2107 0.6681 0.4575 O
0.2128 0.8538 0.6304 O
0.2707 0.3068 0.0951 O
0.2884 0.1668 0.8726 O
0.3761 0.2430 0.4959 O
0.4477 0.5202 0.7495 O
0.5523 0.4798 0.2505 O
0.6239 0.7570 0.5041 O
0.7116 0.8332 0.1274 O
0.7293 0.6932 0.9049 O
0.7872 0.1462 0.3696 O
0.7893 0.3319 0.5425 O
0.8656 0.9963 0.8324 O
0.8745 0.3105 0.9435 O
```

Principal peaks in the range 2θ from 10° to 90°, low angle first:
d (Å)	Position (°2θ)	Rel. int.
4.782	18.55	100
3.402	26.20	61
3.156	28.28	66
2.922	30.60	75
2.693	33.27	62
2.503	35.88	69

# 5
For LiCrPO4, a DFT-relaxed cell (PBE+U, the Materials Project) gives the calculated PXRD pattern in this record (a wavelength of 1.5418 Å).

Atomic structure:
```
LiCrPO4
1.0
3.6261 -3.5376 0.0000
3.6261 3.5376 0.0000
-0.4555 0.0000 16.7883
Li Cr P O
4 4 4 16
Direct
0.0534 0.6591 0.9411 Li
0.3409 0.9466 0.5589 Li
0.6591 0.0534 0.4411 Li
0.9466 0.3409 0.0589 Li
0.1599 0.3367 0.2485 Cr
0.3367 0.1599 0.7485 Cr
0.6633 0.8401 0.2515 Cr
0.8401 0.6633 0.7515 Cr
0.1469 0.8140 0.1344 P
0.1860 0.8531 0.3656 P
0.8140 0.1469 0.6344 P
0.8531 0.1860 0.8656 P
0.0219 0.3427 0.8031 O
0.0684 0.1136 0.1468 O
0.0715 0.7115 0.0518 O
0.1136 0.0684 0.6468 O
0.2441 0.5594 0.3457 O
0.2885 0.9285 0.4482 O
0.3427 0.0219 0.3031 O
0.4406 0.7559 0.1543 O
0.5594 0.2441 0.8457 O
0.6573 0.9781 0.6969 O
0.7115 0.0715 0.5518 O
0.7559 0.4406 0.6543 O
0.8864 0.9316 0.3532 O
0.9285 0.2885 0.9482 O
0.9316 0.8864 0.8532 O
0.9781 0.6573 0.1969 O
```

Principal peaks in the range 2θ from 10° to 90°, low angle first:
d (Å)	Position (°2θ)	Rel. int.
8.394	10.54	100
5.063	17.51	18
4.873	18.20	41
2.990	29.88	13
2.780	32.20	24
2.510	35.77	18

# 6
For Li2CrP2O8, a DFT-relaxed cell (PBE+U, the Materials Project) gives the calculated PXRD pattern in this record (a wavelength of 1.5418 Å).

Atomic structure:
```
Li2CrP2O8
1.0
4.8670 0.0000 0.0000
-2.4335 4.2150 0.0000
0.0000 0.0000 7.4171
Li Cr P O
2 1 2 8
Direct
0.3333 0.6667 0.1816 Li
0.6667 0.3333 0.8184 Li
0.0000 0.0000 0.5000 Cr
0.3333 0.6667 0.7228 P
0.6667 0.3333 0.2772 P
0.0417 0.6894 0.6551 O
0.3106 0.3523 0.6551 O
0.3333 0.6667 0.9261 O
0.3523 0.0417 0.3449 O
0.6477 0.9583 0.6551 O
0.6667 0.3333 0.0739 O
0.6894 0.6477 0.3449 O
0.9583 0.3106 0.3449 O
```

Principal peaks in the range 2θ from 10° to 90°, low angle first:
d (Å)	Position (°2θ)	Rel. int.
7.417	11.93	75
3.665	24.29	100
2.784	32.15	30
2.434	36.94	21
2.312	38.95	13
1.405	66.56	13

# 7
For Li4CrP2O8, a DFT-relaxed cell (PBE+U, the Materials Project) gives the calculated PXRD pattern in this record (a wavelength of 1.5418 Å).

Atomic structure:
```
Li4CrP2O8
1.0
4.8660 0.0000 0.0000
-0.7727 5.4576 0.0000
-0.6468 -0.7973 5.9879
Li Cr P O
4 1 2 8
Direct
0.1553 0.2972 0.0672 Li
0.3288 0.5598 0.6710 Li
0.6712 0.4402 0.3290 Li
0.8447 0.7028 0.9328 Li
0.0000 0.0000 0.5000 Cr
0.3777 0.7917 0.2089 P
0.6223 0.2083 0.7911 P
0.2586 0.6843 0.9665 O
0.2654 0.6020 0.3622 O
0.2810 0.0466 0.2727 O
0.2951 0.1841 0.7621 O
0.7049 0.8159 0.2379 O
0.7190 0.9534 0.7273 O
0.7346 0.3980 0.6378 O
0.7414 0.3157 0.0335 O
```

Principal peaks in the range 2θ from 10° to 90°, low angle first:
d (Å)	Position (°2θ)	Rel. int.
5.410	16.39	40
4.307	20.62	100
3.528	25.25	46
3.273	27.24	36
2.597	34.54	28
2.527	35.52	36